Starting from a crystal structure in Alexandria, relaxed with GGA-PBE, the XRD peak list of Ti2Zn5 was calculated for Cu Kα (λ = 1.5418 Å).
No peak broadening, texture or thermal motion is included.

Lattice parameters (Å, degrees): 5.9885 12.9563 5.6066 90.00 90.00 90.00
Space group Cccm (No. 66)
Inequivalent atoms, fractional coordinates:
Ti 0.1920 0.0990 0.0000
Zn 0.0000 0.2586 0.2500
Zn 0.0000 0.5000 0.2500
Zn 0.2438 0.1154 0.5000

Main lines, by angle (2θ = 10–90°):
(1 1 2), 2θ = 36.05°, I 21.6
(1 5 0), 2θ = 37.83°, I 16.9
(2 4 0), 2θ = 41.05°, I 100.0
(0 4 2), 2θ = 42.65°, I 97.9
(2 0 2), 2θ = 44.26°, I 89.9
(2 8 2), 2θ = 74.75°, I 22.3
(4 4 2), 2θ = 78.16°, I 21.2
(2 4 4), 2θ = 81.42°, I 23.8

---

Starting from a crystal structure in Alexandria, relaxed with GGA-PBE, the XRD peak list of CsTl3Hg4I12 was calculated for Cu Kα (λ = 1.5418 Å).
No peak broadening, texture or thermal motion is included.

Lattice parameters (Å, degrees): 17.1226 17.1226 13.8725 90.00 90.00 120.00
Space group R32 (No. 155, hexagonal axes)
Inequivalent atoms, fractional coordinates:
Cs 0.0000 0.0000 0.0000
Tl 0.0000 0.5426 0.0000
Hg 0.0000 0.0000 0.5000
Hg 0.0000 0.4486 0.5000
I 0.0000 0.6108 0.5000
I 0.0000 0.8391 0.5000
I 0.0423 0.2117 0.1595

Main lines, by angle (2θ = 10–90°):
(2 1 1), 2θ = 17.06°, I 55.0
(2 0 2), 2θ = 17.51°, I 100.0
(0 0 3), 2θ = 19.19°, I 33.6
(3 1 2), 2θ = 25.17°, I 35.2
(0 2 4), 2θ = 28.41°, I 44.7
(1 4 3), 2θ = 33.81°, I 49.4
(5 1 1), 2θ = 34.28°, I 36.3
(3 5 1), 2θ = 43.20°, I 26.0

---

Starting from a crystal structure in Alexandria, relaxed with GGA-PBE, the XRD peak list of Re5Rh3 was calculated for Cu Kα (λ = 1.5418 Å).
No peak broadening, texture or thermal motion is included.

Lattice parameters (Å, degrees): 3.9066 3.9362 15.2310 90.00 90.00 90.00
Space group Immm (No. 71)
Inequivalent atoms, fractional coordinates:
Re 0.0000 0.0000 0.0000
Re 0.0000 0.0000 0.2515
Re 0.0000 0.5000 0.3718
Rh 0.0000 0.0000 0.5000
Rh 0.0000 0.5000 0.1216

Main lines, by angle (2θ = 10–90°):
(1 1 4), 2θ = 40.23°, I 100.0
(0 2 0), 2θ = 46.12°, I 17.0
(2 0 0), 2θ = 46.49°, I 16.6
(0 0 8), 2θ = 47.77°, I 16.8
(2 0 8), 2θ = 68.87°, I 11.3
(1 3 4), 2θ = 81.39°, I 13.1
(3 1 4), 2θ = 81.93°, I 12.9
(1 1 12), 2θ = 83.82°, I 11.9

---

Starting from a crystal structure in Alexandria, relaxed with GGA-PBE, the XRD peak list of CuHgSBr was calculated for Cu Kα (λ = 1.5418 Å).
No peak broadening, texture or thermal motion is included.

Lattice parameters (Å, degrees): 10.1021 4.1070 9.6259 90.00 90.00 90.00
Space group Pmma (No. 51)
Inequivalent atoms, fractional coordinates:
Cu 0.0803 0.0000 0.2127
Hg 0.0000 0.5000 0.5000
Hg 0.2500 0.5000 0.7835
S 0.0094 0.5000 0.7532
Br 0.2500 0.0000 0.0277
Br 0.2500 0.0000 0.4380

Main lines, by angle (2θ = 10–90°):
(2 0 1), 2θ = 19.85°, I 35.1
(1 1 1), 2θ = 25.17°, I 75.6
(0 0 3), 2θ = 27.80°, I 21.2
(3 0 1), 2θ = 28.05°, I 29.9
(2 1 1), 2θ = 29.53°, I 33.5
(2 1 2), 2θ = 33.73°, I 100.0
(4 0 0), 2θ = 35.53°, I 38.1
(0 2 0), 2θ = 44.10°, I 25.9

---

Starting from a crystal structure in Alexandria, relaxed with GGA-PBE, the XRD peak list of LiEr was calculated for Cu Kα (λ = 1.5418 Å).
No peak broadening, texture or thermal motion is included.

Lattice parameters (Å, degrees): 3.3172 5.0147 6.3952 90.00 105.05 90.00
Space group P2_1/m (No. 11)
Inequivalent atoms, fractional coordinates:
Li 0.0633 0.2500 0.1292
Er 0.3241 0.2500 0.6477

Main lines, by angle (2θ = 10–90°):
(0 0 1), 2θ = 14.34°, I 75.1
(0 1 1), 2θ = 22.84°, I 94.3
(1 1 -1), 2θ = 33.18°, I 100.0
(0 1 2), 2θ = 34.10°, I 55.5
(1 0 1), 2θ = 34.73°, I 53.3
(0 2 0), 2θ = 35.81°, I 26.4
(1 2 1), 2θ = 50.74°, I 36.7
(1 1 3), 2θ = 62.42°, I 20.1

---

Starting from a crystal structure in Alexandria, relaxed with GGA-PBE, the XRD peak list of Mg4Cd2Pb3 was calculated for Cu Kα (λ = 1.5418 Å).
No peak broadening, texture or thermal motion is included.

Lattice parameters (Å, degrees): 7.8671 8.5335 7.3861 90.00 107.23 90.00
Space group P2_1/c (No. 14)
Inequivalent atoms, fractional coordinates:
Mg 0.1029 0.0044 0.3593
Mg 0.3400 0.6938 0.2968
Cd 0.0394 0.6775 0.4971
Pb 0.2964 0.1624 0.8153
Pb 0.5000 0.0000 0.5000

Main lines, by angle (2θ = 10–90°):
(1 1 0), 2θ = 15.71°, I 68.3
(1 1 1), 2θ = 22.26°, I 100.0
(2 0 -2), 2θ = 29.15°, I 89.8
(2 2 -1), 2θ = 31.44°, I 43.2
(0 3 1), 2θ = 33.98°, I 78.2
(3 1 -1), 2θ = 35.88°, I 53.2
(1 3 1), 2θ = 37.38°, I 46.2
(1 2 2), 2θ = 37.67°, I 39.7

---

Starting from a crystal structure in Alexandria, relaxed with GGA-PBE, the XRD peak list of Zr5Re24 was calculated for Cu Kα (λ = 1.5418 Å).
No peak broadening, texture or thermal motion is included.

Lattice parameters (Å, degrees): 9.7912 9.7912 9.7912 90.00 90.00 90.00
Space group I-43m (No. 217)
Inequivalent atoms, fractional coordinates:
Zr 0.0000 0.0000 0.0000
Zr 0.1858 0.1858 0.8142
Re 0.0365 0.3598 0.3598
Re 0.0913 0.0913 0.2854

Main lines, by angle (2θ = 10–90°):
(4 1 1), 2θ = 39.03°, I 100.0
(3 3 2), 2θ = 43.35°, I 34.5
(4 2 2), 2θ = 45.38°, I 9.0
(4 3 1), 2θ = 47.34°, I 29.2
(5 5 0), 2θ = 67.66°, I 10.2
(7 2 1), 2θ = 70.70°, I 27.2
(6 4 2), 2θ = 72.20°, I 8.8
(8 2 2), 2θ = 83.84°, I 11.4

---

Starting from a crystal structure in Alexandria, relaxed with GGA-PBE, the XRD peak list of Ac2Pr4Mg was calculated for Cu Kα (λ = 1.5418 Å).
No peak broadening, texture or thermal motion is included.

Lattice parameters (Å, degrees): 11.6195 5.3248 8.5010 90.00 99.76 90.00
Space group C2/m (No. 12)
Inequivalent atoms, fractional coordinates:
Ac 0.2151 0.0000 0.1438
Pr 0.0721 0.0000 0.7027
Pr 0.1414 0.5000 0.4229
Mg 0.0000 0.5000 0.0000

Main lines, by angle (2θ = 10–90°):
(3 1 -1), 2θ = 29.25°, I 100.0
(2 0 -3), 2θ = 33.22°, I 17.7
(0 2 0), 2θ = 33.66°, I 17.4
(4 0 1), 2θ = 34.79°, I 16.6
(2 2 -3), 2θ = 48.02°, I 12.8
(4 2 1), 2θ = 49.19°, I 12.6
(3 3 -1), 2θ = 57.51°, I 15.1
(5 1 3), 2θ = 58.93°, I 8.1

---

Starting from a crystal structure in Alexandria, relaxed with GGA-PBE, the XRD peak list of YbMg16Al12 was calculated for Cu Kα (λ = 1.5418 Å).
No peak broadening, texture or thermal motion is included.

Lattice parameters (Å, degrees): 15.0265 15.0265 9.0210 90.00 90.00 120.00
Space group R3m (No. 160, hexagonal axes)
Inequivalent atoms, fractional coordinates:
Yb 0.0000 0.0000 0.0000
Mg 0.0000 0.0000 0.6277
Mg 0.0336 0.3605 0.9881
Mg 0.1052 0.5526 0.1775
Mg 0.1100 0.2200 0.1263
Mg 0.1999 0.3998 0.7432
Al 0.0018 0.1830 0.8113
Al 0.1224 0.0612 0.3175
Al 0.2129 0.4258 0.2267

Main lines, by angle (2θ = 10–90°):
(1 1 0), 2θ = 11.78°, I 76.8
(1 0 1), 2θ = 11.94°, I 52.4
(2 1 1), 2θ = 20.54°, I 53.1
(4 1 0), 2θ = 31.53°, I 31.9
(3 3 0), 2θ = 35.88°, I 83.8
(2 3 2), 2θ = 36.08°, I 95.1
(0 3 3), 2θ = 36.35°, I 100.0
(5 1 1), 2θ = 39.84°, I 48.3

---

Starting from a crystal structure in Alexandria, relaxed with GGA-PBE, the XRD peak list of LaGe3Pd2 was calculated for Cu Kα (λ = 1.5418 Å).
No peak broadening, texture or thermal motion is included.

Lattice parameters (Å, degrees): 4.3489 4.3489 25.5481 90.00 90.00 90.00
Space group I4/mmm (No. 139)
Inequivalent atoms, fractional coordinates:
La 0.0000 0.0000 0.1501
Ge 0.0000 0.0000 0.3025
Ge 0.0000 0.5000 0.0488
Pd 0.0000 0.0000 0.4010
Pd 0.0000 0.5000 0.2500

Main lines, by angle (2θ = 10–90°):
(1 0 7), 2θ = 32.01°, I 45.2
(1 1 4), 2θ = 32.31°, I 100.0
(1 1 6), 2θ = 36.03°, I 26.0
(2 0 0), 2θ = 41.53°, I 73.8
(1 1 10), 2θ = 46.20°, I 29.8
(2 1 7), 2θ = 53.38°, I 21.0
(2 2 0), 2θ = 60.18°, I 24.2
(3 1 4), 2θ = 69.98°, I 20.7

---

Starting from a crystal structure in Alexandria, relaxed with GGA-PBE, the XRD peak list of ZnTe was calculated for Cu Kα (λ = 1.5418 Å).
No peak broadening, texture or thermal motion is included.

Lattice parameters (Å, degrees): 4.3438 4.3438 9.7727 90.00 90.00 120.00
Space group P6_422 (No. 181)
Inequivalent atoms, fractional coordinates:
Zn 0.0000 0.5000 0.3333
Te 0.0000 0.5000 0.8333

Main lines, by angle (2θ = 10–90°):
(1 0 0), 2θ = 23.65°, I 22.8
(1 0 2), 2θ = 29.98°, I 100.0
(1 0 4), 2θ = 44.20°, I 34.0
(1 1 2), 2θ = 45.71°, I 30.8
(2 0 0), 2θ = 48.39°, I 29.3
(1 1 4), 2θ = 56.71°, I 16.0
(2 1 2), 2θ = 68.76°, I 17.5
(2 0 6), 2θ = 77.53°, I 13.9

---

Starting from a crystal structure in Alexandria, relaxed with GGA-PBE, the XRD peak list of DyTlSnBr6 was calculated for Cu Kα (λ = 1.5418 Å).
No peak broadening, texture or thermal motion is included.

Lattice parameters (Å, degrees): 7.5615 7.5615 7.1883 90.00 90.00 120.00
Space group P312 (No. 149)
Inequivalent atoms, fractional coordinates:
Dy 0.0000 0.0000 0.0000
Tl 0.6667 0.3333 0.5000
Sn 0.3333 0.6667 0.0000
Br 0.0227 0.3149 0.7732

Main lines, by angle (2θ = 10–90°):
(1 0 1), 2θ = 18.33°, I 100.0
(1 1 1), 2θ = 26.64°, I 56.1
(2 0 1), 2θ = 29.99°, I 26.0
(1 1 2), 2θ = 34.43°, I 88.5
(2 1 1), 2θ = 38.47°, I 35.5
(3 0 0), 2θ = 41.36°, I 42.3
(4 -2 2), 2θ = 54.87°, I 21.0
(4 1 2), 2θ = 70.98°, I 18.1